Record 1
This entry pairs a crystal structure of ZnCdGa3 with its simulated XRD peak list. Radiation: Cu Kα (λ = 1.5418 Å). Structure: a GGA-PBE-relaxed structure.
Lines closer than 0.1° are merged.

Structure:
Lattice parameters (Å, degrees): 9.6312 9.6312 9.6312 30.70 30.70 30.70
Element x y z (fractional)
Zn1 0.1703 0.1703 0.1703
Zn2 0.8297 0.8297 0.8297
Cd1 0.3277 0.3277 0.3277
Cd2 0.6723 0.6723 0.6723
Ga1 0.1127 0.4030 0.7527
Ga2 0.2473 0.8873 0.5970
Ga3 0.4030 0.7527 0.1127
Ga4 0.5970 0.2473 0.8873
Ga5 0.7527 0.1127 0.4030
Ga6 0.8873 0.5970 0.2473

Peak list (8 most intense, 15° ≤ 2θ ≤ 90°, low angle first)
two_theta	d [Å]	intensity
21.13	4.205	239
33.01	2.713	222
36.58	2.456	591
39.30	2.293	293
40.48	2.228	1000
46.38	1.958	245
63.16	1.472	233
76.98	1.239	213

---

Record 2
This entry pairs a crystal structure of Dy2CdSn4 with its simulated XRD peak list. Radiation: Cu Kα (λ = 1.5418 Å). Structure: a GGA-PBE-relaxed structure.
Lines closer than 0.1° are merged.

Structure:
Lattice parameters (Å, degrees): 4.4535 4.4535 9.5741 90.00 90.00 90.00
Element x y z (fractional)
Dy1 0.0000 0.5000 0.2416
Dy2 0.5000 0.0000 0.7584
Cd1 0.5000 0.5000 0.0000
Sn1 0.0000 0.0000 0.5000
Sn2 0.0000 0.5000 0.8058
Sn3 0.5000 0.0000 0.1942
Sn4 0.5000 0.5000 0.5000

Peak list (8 most intense, 15° ≤ 2θ ≤ 90°, low angle first)
two_theta	d [Å]	intensity
22.01	4.038	89
29.87	2.991	98
34.08	2.631	1000
37.58	2.394	131
40.51	2.227	357
56.44	1.630	162
58.63	1.575	122
69.58	1.351	258

---

Record 3
This entry pairs a crystal structure of Pm2PrRh2 with its simulated XRD peak list. Radiation: Cu Kα (λ = 1.5418 Å). Structure: a GGA-PBE-relaxed structure.
Lines closer than 0.1° are merged.

Structure:
Lattice parameters (Å, degrees): 8.9491 8.9491 7.6432 90.00 90.00 154.46
Element x y z (fractional)
Pm1 0.0307 0.9693 0.5000
Pm2 0.1864 0.8136 0.7759
Pm3 0.8136 0.1864 0.2759
Pm4 0.9693 0.0307 0.0000
Pr1 0.3746 0.6254 0.6674
Pr2 0.6254 0.3746 0.1674
Rh1 0.1962 0.8038 0.3882
Rh2 0.4499 0.5501 0.2996
Rh3 0.5501 0.4499 0.7996
Rh4 0.8038 0.1962 0.8882

Peak list (8 most intense, 15° ≤ 2θ ≤ 90°, low angle first)
two_theta	d [Å]	intensity
25.86	3.445	571
31.11	2.875	255
32.96	2.717	1000
34.25	2.618	681
36.14	2.485	803
36.27	2.477	449
36.75	2.446	326
45.87	1.978	353

---

Record 4
This entry pairs a crystal structure of NaOsSe2Br with its simulated XRD peak list. Radiation: Cu Kα (λ = 1.5418 Å). Structure: a GGA-PBE-relaxed structure.
Lines closer than 0.1° are merged.

Structure:
Lattice parameters (Å, degrees): 4.8043 4.8043 5.7214 90.00 90.00 90.00
Element x y z (fractional)
Na1 0.0000 0.0000 0.0000
Os1 0.5000 0.5000 0.5000
Se1 0.0000 0.5000 0.5000
Se2 0.5000 0.0000 0.5000
Br1 0.5000 0.5000 0.0000

Peak list (8 most intense, 15° ≤ 2θ ≤ 90°, low angle first)
two_theta	d [Å]	intensity
15.49	5.721	713
18.47	4.804	1000
24.19	3.679	286
31.27	2.861	476
36.56	2.458	362
37.44	2.402	583
40.74	2.215	259
49.55	1.840	519

---

Record 5
This entry pairs a crystal structure of K8AgHg2 with its simulated XRD peak list. Radiation: Cu Kα (λ = 1.5418 Å). Structure: a GGA-PBE-relaxed structure.
Lines closer than 0.1° are merged.

Structure:
Lattice parameters (Å, degrees): 10.5197 10.5197 10.5197 147.77 121.83 68.08
Element x y z (fractional)
K1 0.1206 0.3405 0.7801
K2 0.1363 0.1363 0.0000
K3 0.3161 0.0000 0.3161
K4 0.4395 0.6595 0.7801
K5 0.5605 0.3405 0.2199
K6 0.6839 0.0000 0.6839
K7 0.8637 0.8637 0.0000
K8 0.8794 0.6595 0.2199
Ag1 0.0000 0.5000 0.5000
Hg1 0.3059 0.8059 0.5000
Hg2 0.6941 0.1941 0.5000

Peak list (8 most intense, 15° ≤ 2θ ≤ 90°, low angle first)
two_theta	d [Å]	intensity
17.34	5.114	197
17.52	5.063	891
26.97	3.307	214
27.81	3.208	1000
30.38	2.943	247
30.62	2.920	253
35.55	2.526	237
52.73	1.736	158

---

Record 6
This entry pairs a crystal structure of ZrTi2Rh5 with its simulated XRD peak list. Radiation: Cu Kα (λ = 1.5418 Å). Structure: a GGA-PBE-relaxed structure.
Lines closer than 0.1° are merged.

Structure:
Lattice parameters (Å, degrees): 5.5221 10.7925 4.1612 90.00 90.00 90.00
Element x y z (fractional)
Zr1 0.0000 0.0000 0.0000
Zr2 0.5000 0.5000 0.0000
Ti1 0.1611 0.3526 0.5000
Ti2 0.3389 0.8526 0.5000
Ti3 0.6611 0.1474 0.5000
Ti4 0.8389 0.6474 0.5000
Rh1 0.0000 0.5000 0.0000
Rh2 0.0913 0.7571 0.0000
Rh3 0.2029 0.1133 0.5000
Rh4 0.2971 0.6133 0.5000
Rh5 0.4087 0.2571 0.0000
Rh6 0.5000 0.0000 0.0000
Rh7 0.5913 0.7429 0.0000
Rh8 0.7029 0.3867 0.5000
Rh9 0.7971 0.8867 0.5000
Rh10 0.9087 0.2429 0.0000

Peak list (8 most intense, 15° ≤ 2θ ≤ 90°, low angle first)
two_theta	d [Å]	intensity
31.62	2.830	140
39.16	2.301	558
39.82	2.264	1000
40.07	2.250	470
41.22	2.190	196
43.50	2.081	417
47.09	1.930	306
66.03	1.415	215